(1)
This entry pairs a crystal structure of Li3CoB2O6 with its calculated X-ray diffraction stick pattern. Radiation: Cu Kα (λ = 1.5418 Å). Structure: the GGA+U geometry in the Materials Project.

Structure:
Unit cell a=5.005 b=6.316 c=8.010 alpha=74.58 beta=89.35 gamma=88.94
Fractional positions:
Li 0.168 0.260 0.391
Li 0.174 0.974 0.741
Li 0.326 0.103 0.074
Li 0.674 0.897 0.926
Li 0.826 0.026 0.259
Li 0.832 0.740 0.609
Co 0.346 0.450 0.730
Co 0.654 0.550 0.270
B 0.168 0.677 0.090
B 0.343 0.830 0.426
B 0.657 0.170 0.574
B 0.832 0.323 0.910
O 0.113 0.322 0.904
O 0.208 0.992 0.313
O 0.227 0.722 0.587
O 0.297 0.512 0.217
O 0.298 0.834 0.971
O 0.390 0.229 0.603
O 0.610 0.771 0.397
O 0.702 0.166 0.029
O 0.703 0.488 0.783
O 0.773 0.278 0.413
O 0.792 0.008 0.687
O 0.887 0.678 0.096

The 10 most intense peaks (2θ = 10–80°), by angle:
d/Å	Rel. int.	h k l
6.088	75.6	0 1 0
5.004	27.9	1 0 0
4.212	42.6	1 0 1
3.861	21.4	0 0 2
3.747	100.0	0 1 2
2.973	30.8	-1 1 2
2.776	96.6	0 2 2
2.527	55.5	1 1 -2
2.502	27.3	2 0 0
1.870	21.0	1 -3 0



(2)
This entry pairs a crystal structure of Li2CoBO4 with its calculated X-ray diffraction stick pattern. Radiation: Cu Kα (λ = 1.5418 Å). Structure: the GGA+U geometry in the Materials Project.

Structure:
Unit cell a=10.200 b=6.037 c=4.788 alpha=90.00 beta=90.00 gamma=90.00
Fractional positions:
Li 0.074 0.240 0.000
Li 0.158 0.995 0.503
Li 0.342 0.495 0.003
Li 0.426 0.740 0.500
Li 0.574 0.260 0.000
Li 0.658 0.505 0.503
Li 0.842 0.005 0.003
Li 0.926 0.760 0.500
Co 0.163 0.485 0.505
Co 0.337 0.985 0.005
Co 0.663 0.015 0.505
Co 0.837 0.515 0.005
B 0.092 0.739 0.008
B 0.408 0.239 0.508
B 0.592 0.761 0.008
B 0.908 0.261 0.508
O 0.048 0.253 0.416
O 0.097 0.731 0.318
O 0.158 0.537 0.894
O 0.159 0.947 0.914
O 0.341 0.447 0.414
O 0.342 0.037 0.394
O 0.403 0.231 0.818
O 0.452 0.753 0.916
O 0.548 0.247 0.416
O 0.597 0.769 0.318
O 0.658 0.963 0.894
O 0.659 0.553 0.914
O 0.841 0.053 0.414
O 0.842 0.463 0.394
O 0.903 0.269 0.818
O 0.952 0.747 0.916

The 10 most intense peaks (2θ = 10–80°), by angle:
d/Å	Rel. int.	h k l
5.195	53.1	1 1 0
3.521	100.0	1 1 1
3.491	26.0	2 0 1
2.963	42.4	3 1 0
2.598	39.8	2 2 0
2.550	23.6	4 0 0
2.394	36.7	0 0 2
2.283	29.2	2 2 1
1.481	17.8	6 2 0
1.360	20.8	2 2 3



(3)
This entry pairs a crystal structure of Li2CoBO4 with its calculated X-ray diffraction stick pattern. Radiation: Cu Kα (λ = 1.5418 Å). Structure: the GGA+U geometry in the Materials Project.

Structure:
Unit cell a=10.621 b=5.796 c=4.775 alpha=90.00 beta=90.00 gamma=90.00
Fractional positions:
Li 0.083 0.001 0.201
Li 0.083 0.499 0.201
Li 0.417 0.501 0.701
Li 0.417 0.999 0.701
Li 0.583 0.001 0.299
Li 0.583 0.499 0.299
Li 0.917 0.501 0.799
Li 0.917 0.999 0.799
Co 0.176 0.250 0.692
Co 0.324 0.750 0.192
Co 0.676 0.250 0.808
Co 0.824 0.750 0.308
B 0.169 0.750 0.687
B 0.331 0.250 0.187
B 0.669 0.750 0.813
B 0.831 0.250 0.313
O 0.100 0.537 0.783
O 0.100 0.963 0.783
O 0.170 0.750 0.378
O 0.199 0.250 0.299
O 0.301 0.750 0.799
O 0.330 0.250 0.878
O 0.400 0.037 0.283
O 0.400 0.463 0.283
O 0.600 0.537 0.717
O 0.600 0.963 0.717
O 0.670 0.750 0.122
O 0.699 0.250 0.201
O 0.801 0.750 0.701
O 0.830 0.250 0.622
O 0.900 0.037 0.217
O 0.900 0.463 0.217

The 10 most intense peaks (2θ = 10–80°), by angle:
d/Å	Rel. int.	h k l
5.310	99.3	2 0 0
3.915	33.3	2 1 0
3.685	44.2	0 1 1
3.551	100.0	2 0 1
3.028	26.5	2 1 1
2.898	35.5	0 2 0
2.544	72.1	2 2 0
2.414	48.0	4 1 0
2.388	52.6	0 0 2
1.511	27.9	6 2 0



(4)
This entry pairs a crystal structure of Li5Co4B4O12 with its calculated X-ray diffraction stick pattern. Radiation: Cu Kα (λ = 1.5418 Å). Structure: the GGA+U geometry in the Materials Project.

Structure:
Unit cell a=5.050 b=5.091 c=11.680 alpha=87.95 beta=87.42 gamma=60.54
Fractional positions:
Li 0.000 0.000 0.000
Li 0.000 0.310 0.377
Li 0.986 0.015 0.189
Li 0.988 0.981 0.629
Li 0.994 0.321 0.801
Co 0.343 0.326 0.567
Co 0.349 0.627 0.811
Co 0.663 0.658 0.123
Co 0.665 0.928 0.379
B 0.335 0.325 0.090
B 0.352 0.636 0.349
B 0.664 0.967 0.838
B 0.673 0.647 0.604
O 0.075 0.293 0.094
O 0.093 0.911 0.346
O 0.307 0.613 0.081
O 0.346 0.384 0.397
O 0.394 0.228 0.822
O 0.395 0.655 0.632
O 0.624 0.069 0.098
O 0.630 0.600 0.301
O 0.678 0.693 0.855
O 0.683 0.907 0.576
O 0.938 0.372 0.610
O 0.938 0.980 0.834

The 10 most intense peaks (2θ = 10–80°), by angle:
d/Å	Rel. int.	h k l
4.392	52.2	1 0 0
4.157	25.3	1 0 1
4.034	48.5	1 1 -1
3.581	40.4	1 1 2
3.503	38.8	0 1 -2
2.917	100.0	0 0 4
2.556	32.9	1 -1 0
2.522	31.7	2 1 0
2.396	21.6	1 0 -4
2.170	30.3	2 2 1



(5)
This entry pairs a crystal structure of Li3CoB2O6 with its calculated X-ray diffraction stick pattern. Radiation: Cu Kα (λ = 1.5418 Å). Structure: the GGA+U geometry in the Materials Project.

Structure:
Unit cell a=5.169 b=8.858 c=10.986 alpha=90.00 beta=117.03 gamma=90.00
Fractional positions:
Li 0.006 0.023 0.168
Li 0.006 0.477 0.668
Li 0.050 0.661 0.882
Li 0.050 0.839 0.382
Li 0.425 0.010 0.601
Li 0.425 0.490 0.101
Li 0.575 0.510 0.899
Li 0.575 0.990 0.399
Li 0.950 0.161 0.618
Li 0.950 0.339 0.118
Li 0.994 0.523 0.332
Li 0.994 0.977 0.832
Co 0.471 0.667 0.624
Co 0.471 0.833 0.124
Co 0.529 0.167 0.876
Co 0.529 0.333 0.376
B 0.045 0.176 0.379
B 0.045 0.324 0.879
B 0.466 0.165 0.129
B 0.466 0.335 0.629
B 0.534 0.665 0.371
B 0.534 0.835 0.871
B 0.955 0.676 0.121
B 0.955 0.824 0.621
O 0.134 0.185 0.851
O 0.134 0.315 0.351
O 0.192 0.046 0.381
O 0.192 0.454 0.881
O 0.194 0.671 0.095
O 0.194 0.829 0.595
O 0.324 0.670 0.416
O 0.324 0.830 0.916
O 0.348 0.025 0.138
O 0.348 0.475 0.638
O 0.365 0.208 0.667
O 0.365 0.292 0.167
O 0.635 0.708 0.833
O 0.635 0.792 0.333
O 0.652 0.525 0.362
O 0.652 0.975 0.862
O 0.676 0.170 0.084
O 0.676 0.330 0.584
O 0.806 0.171 0.405
O 0.806 0.329 0.905
O 0.808 0.546 0.119
O 0.808 0.954 0.619
O 0.866 0.685 0.649
O 0.866 0.815 0.149

The 10 most intense peaks (2θ = 10–80°), by angle:
d/Å	Rel. int.	h k l
6.567	33.8	0 1 1
4.605	75.3	1 0 0
4.429	43.4	0 2 0
4.283	93.1	0 1 2
4.037	35.9	1 1 -2
3.363	29.5	1 2 -1
3.324	37.9	1 1 1
2.564	74.5	1 3 -1
2.447	100.0	0 0 4
2.184	29.3	2 2 -1



(6)
This entry pairs a crystal structure of Li2CoBO4 with its calculated X-ray diffraction stick pattern. Radiation: Cu Kα (λ = 1.5418 Å). Structure: the GGA+U geometry in the Materials Project.

Structure:
Unit cell a=10.345 b=5.794 c=5.003 alpha=90.00 beta=90.00 gamma=90.00
Fractional positions:
Li 0.167 0.003 0.176
Li 0.167 0.497 0.176
Li 0.333 0.503 0.676
Li 0.333 0.997 0.676
Li 0.667 0.003 0.324
Li 0.667 0.497 0.324
Li 0.833 0.503 0.824
Li 0.833 0.997 0.824
Co 0.082 0.250 0.681
Co 0.418 0.750 0.181
Co 0.582 0.250 0.819
Co 0.918 0.750 0.319
B 0.085 0.750 0.665
B 0.415 0.250 0.165
B 0.585 0.750 0.835
B 0.915 0.250 0.335
O 0.058 0.250 0.298
O 0.100 0.750 0.369
O 0.146 0.538 0.782
O 0.146 0.962 0.782
O 0.354 0.038 0.282
O 0.354 0.462 0.282
O 0.400 0.250 0.869
O 0.442 0.750 0.798
O 0.558 0.250 0.202
O 0.600 0.750 0.131
O 0.646 0.538 0.718
O 0.646 0.962 0.718
O 0.854 0.038 0.218
O 0.854 0.462 0.218
O 0.900 0.250 0.631
O 0.942 0.750 0.702

The 10 most intense peaks (2θ = 10–80°), by angle:
d/Å	Rel. int.	h k l
5.172	62.3	2 0 0
4.504	66.2	1 0 1
3.859	37.6	2 1 0
3.786	44.8	0 1 1
3.596	100.0	2 0 1
2.897	35.3	0 2 0
2.586	39.1	4 0 0
2.528	50.7	2 2 0
2.501	51.4	0 0 2
2.436	44.6	1 2 1



(7)
This entry pairs a crystal structure of Li2CoBO4 with its calculated X-ray diffraction stick pattern. Radiation: Cu Kα (λ = 1.5418 Å). Structure: the GGA+U geometry in the Materials Project.

Structure:
Unit cell a=6.425 b=5.106 c=10.683 alpha=90.00 beta=95.19 gamma=90.00
Fractional positions:
Li 0.100 0.152 0.292
Li 0.100 0.348 0.792
Li 0.217 0.172 0.571
Li 0.217 0.328 0.071
Li 0.783 0.672 0.929
Li 0.783 0.828 0.429
Li 0.900 0.652 0.208
Li 0.900 0.848 0.708
Co 0.497 0.660 0.654
Co 0.497 0.840 0.154
Co 0.503 0.160 0.846
Co 0.503 0.340 0.346
B 0.196 0.676 0.437
B 0.196 0.824 0.937
B 0.804 0.176 0.063
B 0.804 0.324 0.563
O 0.055 0.699 0.856
O 0.055 0.801 0.356
O 0.248 0.090 0.923
O 0.248 0.410 0.423
O 0.292 0.693 0.042
O 0.292 0.807 0.542
O 0.388 0.159 0.212
O 0.388 0.341 0.712
O 0.612 0.659 0.288
O 0.612 0.841 0.788
O 0.708 0.193 0.458
O 0.708 0.307 0.958
O 0.752 0.590 0.577
O 0.752 0.910 0.077
O 0.945 0.199 0.644
O 0.945 0.301 0.144

The 10 most intense peaks (2θ = 10–80°), by angle:
d/Å	Rel. int.	h k l
6.399	100.0	1 0 0
4.603	21.7	0 1 1
3.920	13.3	1 0 2
3.680	29.8	0 1 2
3.283	91.0	1 1 -2
3.109	21.1	1 1 2
2.858	37.1	2 0 -2
2.580	38.3	1 1 3
1.635	13.8	0 2 5
1.479	15.5	1 3 3



(8)
This entry pairs a crystal structure of Li4CoB2O6 with its calculated X-ray diffraction stick pattern. Radiation: Cu Kα (λ = 1.5418 Å). Structure: the GGA+U geometry in the Materials Project.

Structure:
Unit cell a=7.878 b=9.276 c=3.299 alpha=90.00 beta=90.00 gamma=90.00
Fractional positions:
Li 0.008 0.200 0.000
Li 0.179 0.053 0.500
Li 0.321 0.553 0.000
Li 0.492 0.700 0.500
Li 0.508 0.300 0.500
Li 0.679 0.447 0.000
Li 0.821 0.947 0.500
Li 0.992 0.800 0.000
Co 0.000 0.500 0.500
Co 0.500 0.000 0.000
B 0.231 0.799 0.500
B 0.269 0.299 0.000
B 0.731 0.701 0.000
B 0.769 0.201 0.500
O 0.077 0.865 0.500
O 0.119 0.385 0.000
O 0.245 0.649 0.500
O 0.255 0.149 0.000
O 0.381 0.885 0.500
O 0.423 0.365 0.000
O 0.577 0.635 0.000
O 0.619 0.115 0.500
O 0.745 0.851 0.000
O 0.755 0.351 0.500
O 0.881 0.615 0.000
O 0.923 0.135 0.500

The 10 most intense peaks (2θ = 10–80°), by angle:
d/Å	Rel. int.	h k l
6.005	100.0	1 1 0
3.043	28.4	1 0 1
3.002	32.7	2 2 0
2.891	55.2	1 1 1
2.878	36.8	1 3 0
2.544	34.8	1 2 1
2.285	19.0	3 2 0
2.000	23.4	3 3 0
1.958	29.9	2 3 1
1.664	25.2	4 1 1



(9)
This entry pairs a crystal structure of Li3CoB2O6 with its calculated X-ray diffraction stick pattern. Radiation: Cu Kα (λ = 1.5418 Å). Structure: the GGA+U geometry in the Materials Project.

Structure:
Unit cell a=4.967 b=6.697 c=8.389 alpha=70.21 beta=89.46 gamma=89.19
Fractional positions:
Li 0.120 0.258 0.157
Li 0.151 0.438 0.725
Li 0.339 0.406 0.427
Li 0.661 0.594 0.573
Li 0.849 0.562 0.275
Li 0.880 0.742 0.843
Co 0.379 0.042 0.777
Co 0.621 0.958 0.223
B 0.150 0.816 0.412
B 0.338 0.681 0.079
B 0.662 0.319 0.921
B 0.850 0.184 0.588
O 0.130 0.195 0.610
O 0.205 0.518 0.193
O 0.232 0.787 0.917
O 0.280 0.998 0.307
O 0.282 0.650 0.524
O 0.409 0.249 0.886
O 0.591 0.751 0.114
O 0.718 0.350 0.476
O 0.720 0.002 0.693
O 0.768 0.213 0.083
O 0.795 0.482 0.807
O 0.870 0.805 0.390

The 10 most intense peaks (2θ = 10–80°), by angle:
d/Å	Rel. int.	h k l
6.301	90.2	0 1 0
6.017	54.0	0 1 1
4.967	40.1	1 0 0
4.195	39.2	1 0 -1
4.011	60.8	0 1 2
3.803	61.9	-1 1 1
3.140	53.9	1 1 2
3.100	46.1	-1 1 2
3.008	100.0	0 2 2
2.522	71.4	1 -1 2